# MgMn2Fe2P4O16
Theoretical powder diffractogram, λ = 1.5418 Å (Cu Kα). Input: a structure optimized by DFT (GGA+U).
Lines closer than 0.1° are merged.

Most intense lines, 10 to 90 degrees two-theta, low angle first:
2θ = 17.7°, I = 53; 2θ = 19.9°, I = 43; 2θ = 24.5°, I = 44; 2θ = 29.8°, I = 100; 2θ = 35.1°, I = 77; 2θ = 36.0°, I = 50

Crystal structure
```
MgMn2Fe2P4O16
1.0
5.0514 0.0000 0.0000
0.0000 5.9915 0.0000
-0.3078 0.0000 10.0211
Mg Mn Fe P O
1 2 2 4 16
Cartesian
0.0000 0.0000 0.0000
-0.1950 0.0000 6.4626
2.3093 2.9957 7.0773
0.6444 2.9957 2.1714
2.9163 0.0000 1.7977
0.7088 0.0000 3.4275
2.1131 0.0000 8.3975
3.5133 2.9957 0.2304
4.6507 2.9957 5.2932
1.0947 0.0000 4.8803
1.1277 2.9957 5.5719
1.3963 1.2104 2.6424
1.3963 4.7810 2.6424
1.4512 1.2178 7.7056
1.4512 4.7737 7.7056
1.6677 0.0000 9.9132
2.0636 2.9957 0.6997
3.3908 2.9957 8.7350
3.6568 0.0000 8.3607
3.9070 1.7924 5.9453
3.9070 4.1991 5.9453
4.3166 1.7631 0.8536
4.3166 4.2284 0.8536
4.2626 0.0000 3.1767
4.5411 2.9957 3.7400
```